Entry 1:
# Pm4ErIr3
Calculated X-ray diffraction stick pattern, Cu Kα, 1.54184 Å. Input: a GGA-PBE-relaxed structure.
No peak broadening, texture or thermal motion is included.

Main lines, by intensity (2θ from 10° to 80°):
2theta, Rel. int., (hkl)
36.0, 1000, 4 1 1
32.2, 828, 3 2 1
35.7, 731, 4 2 0
33.2, 698, 2 0 2
36.9, 511, 2 2 2
43.6, 388, 4 0 2

Structural model:
```
data_Pm4ErIr3
_cell_length_a 11.250
_cell_length_b 11.250
_cell_length_c 6.161
_cell_angle_alpha 90.00
_cell_angle_beta 90.00
_cell_angle_gamma 90.00
_symmetry_space_group_name_H-M 'I 4/m c m'
_symmetry_Int_Tables_number 140
_symmetry_space_group_name_Hall '-I 4 2c'
loop_
_atom_site_label
_atom_site_type_symbol
_atom_site_fract_x
_atom_site_fract_y
_atom_site_fract_z
Pm1 Pm 0.083 0.211 0.000
Er1 Er 0.000 0.500 0.250
Ir1 Ir 0.000 0.000 0.250
Ir2 Ir 0.151 0.349 0.500
```


Entry 2:
# Pm3ErIr3
Calculated X-ray diffraction stick pattern, Cu Kα, 1.54184 Å. Input: a GGA-PBE-relaxed structure.
No peak broadening, texture or thermal motion is included.

Main lines, by intensity (2θ from 10° to 80°):
2theta, Rel. int., (hkl)
34.4, 1000, 2 2 -2
39.4, 736, 2 2 2
12.4, 449, 1 1 0
37.2, 415, 0 4 0
34.0, 396, 4 0 0
32.3, 244, 3 1 1

Structural model:
```
data_Pm3ErIr3
_cell_length_a 10.748
_cell_length_b 9.659
_cell_length_c 6.777
_cell_angle_alpha 90.00
_cell_angle_beta 101.00
_cell_angle_gamma 90.00
_symmetry_space_group_name_H-M 'C 1 2/m 1'
_symmetry_Int_Tables_number 12
_symmetry_space_group_name_Hall '-C 2y'
loop_
_atom_site_label
_atom_site_type_symbol
_atom_site_fract_x
_atom_site_fract_y
_atom_site_fract_z
Pm1 Pm 0.000 0.191 0.000
Pm2 Pm 0.000 0.276 0.500
Pm3 Pm 0.202 0.500 0.008
Er1 Er 0.215 0.000 0.451
Ir1 Ir 0.053 0.000 0.712
Ir2 Ir 0.248 0.249 0.744
```


Entry 3:
# Pm2Er2SiIr4
Calculated X-ray diffraction stick pattern, Cu Kα, 1.54184 Å. Input: a GGA-PBE-relaxed structure.
No peak broadening, texture or thermal motion is included.

Main lines, by intensity (2θ from 10° to 80°):
2theta, Rel. int., (hkl)
34.2, 1000, 2 0 2
39.6, 541, 2 2 0
57.3, 326, 4 0 0
68.4, 271, 4 2 2
72.0, 95, 4 0 4
68.5, 67, 2 0 6

Structural model:
```
data_Pm2Er2SiIr4
_cell_length_a 6.434
_cell_length_b 6.434
_cell_length_c 9.078
_cell_angle_alpha 90.00
_cell_angle_beta 90.00
_cell_angle_gamma 90.00
_symmetry_space_group_name_H-M 'I 4/m m m'
_symmetry_Int_Tables_number 139
_symmetry_space_group_name_Hall '-I 4 2'
loop_
_atom_site_label
_atom_site_type_symbol
_atom_site_fract_x
_atom_site_fract_y
_atom_site_fract_z
Pm1 Pm 0.000 0.000 0.193
Er1 Er 0.000 0.500 0.250
Si1 Si 0.000 0.000 0.500
Ir1 Ir 0.247 0.247 0.000
```


Entry 4:
# PrErIr
Calculated X-ray diffraction stick pattern, Cu Kα, 1.54184 Å. Input: a GGA-PBE-relaxed structure.
No peak broadening, texture or thermal motion is included.

Main lines, by intensity (2θ from 10° to 80°):
2theta, Rel. int., (hkl)
36.7, 1000, 2 0 0
36.8, 661, 1 -1 2
22.2, 345, 1 0 1
22.4, 341, 1 0 -1
37.0, 326, 1 1 -2
53.0, 235, 2 2 0

Structural model:
```
data_PrErIr
_cell_length_a 4.890
_cell_length_b 4.890
_cell_length_c 6.884
_cell_angle_alpha 89.70
_cell_angle_beta 89.57
_cell_angle_gamma 90.00
_symmetry_space_group_name_H-M 'P -1'
_symmetry_Int_Tables_number 2
_symmetry_space_group_name_Hall '-P 1'
loop_
_atom_site_label
_atom_site_type_symbol
_atom_site_fract_x
_atom_site_fract_y
_atom_site_fract_z
Pr1 Pr 0.004 0.497 0.250
Er1 Er 0.497 0.002 0.750
Ir1 Ir 0.000 0.000 0.000
Ir2 Ir 0.500 0.500 0.500
```


Entry 5:
# PrErIr
Calculated X-ray diffraction stick pattern, Cu Kα, 1.54184 Å. Input: a GGA-PBE-relaxed structure.
No peak broadening, texture or thermal motion is included.

Main lines, by intensity (2θ from 10° to 80°):
2theta, Rel. int., (hkl)
36.8, 1000, 2 2 0
66.2, 362, 4 2 2
22.3, 350, 1 1 1
43.4, 187, 3 1 1
53.0, 177, 4 0 0
78.2, 113, 4 4 0

Structural model:
```
data_PrErIr
_cell_length_a 6.911
_cell_length_b 6.911
_cell_length_c 6.911
_cell_angle_alpha 90.00
_cell_angle_beta 90.00
_cell_angle_gamma 90.00
_symmetry_space_group_name_H-M 'F -4 3 m'
_symmetry_Int_Tables_number 216
_symmetry_space_group_name_Hall 'F -4 2 3'
loop_
_atom_site_label
_atom_site_type_symbol
_atom_site_fract_x
_atom_site_fract_y
_atom_site_fract_z
Pr1 Pr 0.000 0.000 0.000
Er1 Er 0.000 0.000 0.500
Ir1 Ir 0.250 0.250 0.250
```


Entry 6:
# Er4IrPt
Calculated X-ray diffraction stick pattern, Cu Kα, 1.54184 Å. Input: a GGA-PBE-relaxed structure.
No peak broadening, texture or thermal motion is included.

Main lines, by intensity (2θ from 10° to 80°):
2theta, Rel. int., (hkl)
37.5, 1000, 4 0 0
67.7, 359, 6 2 4
22.7, 320, 2 0 2
54.1, 176, 0 0 8
44.3, 169, 4 2 2
26.3, 93, 0 0 4

Structural model:
```
data_Er4IrPt
_cell_length_a 9.581
_cell_length_b 9.582
_cell_length_c 13.561
_cell_angle_alpha 90.00
_cell_angle_beta 90.00
_cell_angle_gamma 90.00
_symmetry_space_group_name_H-M 'F d d d'
_symmetry_Int_Tables_number 70
loop_
_symmetry_equiv_pos_as_xyz
'x,y,z'
'-x,-y,-z'
'-x+1/4,-y+1/4,z'
'x+1/4,y+1/4,-z'
'x,-y+1/4,-z+1/4'
'-x,y+1/4,z+1/4'
'-x+1/4,y,-z+1/4'
'x+1/4,-y,z+1/4'
'x,y+1/2,z+1/2'
'-x,-y+1/2,-z+1/2'
'-x+1/4,-y+3/4,z+1/2'
'x+1/4,y+3/4,-z+1/2'
'x,-y+3/4,-z+3/4'
'-x,y+3/4,z+3/4'
'-x+1/4,y+1/2,-z+3/4'
'x+1/4,-y+1/2,z+3/4'
'x+1/2,y,z+1/2'
'-x+1/2,-y,-z+1/2'
'-x+3/4,-y+1/4,z+1/2'
'x+3/4,y+1/4,-z+1/2'
'x+1/2,-y+1/4,-z+3/4'
'-x+1/2,y+1/4,z+3/4'
'-x+3/4,y,-z+3/4'
'x+3/4,-y,z+3/4'
'x+1/2,y+1/2,z'
'-x+1/2,-y+1/2,-z'
'-x+3/4,-y+3/4,z'
'x+3/4,y+3/4,-z'
'x+1/2,-y+3/4,-z+1/4'
'-x+1/2,y+3/4,z+1/4'
'-x+3/4,y+1/2,-z+1/4'
'x+3/4,-y+1/2,z+1/4'
loop_
_atom_site_label
_atom_site_type_symbol
_atom_site_fract_x
_atom_site_fract_y
_atom_site_fract_z
Er1 Er 0.124 0.373 0.250
Ir1 Ir 0.125 0.125 0.125
Pt1 Pt 0.125 0.125 0.625
```


Entry 7:
# ErPu5Ir5
Calculated X-ray diffraction stick pattern, Cu Kα, 1.54184 Å. Input: a GGA-PBE-relaxed structure.
No peak broadening, texture or thermal motion is included.

Main lines, by intensity (2θ from 10° to 80°):
2theta, Rel. int., (hkl)
32.0, 1000, 4 0 -2
31.8, 997, 2 0 2
32.2, 990, 0 2 0
46.0, 745, 4 2 -2
45.9, 738, 2 2 2
56.6, 400, 2 2 -4

Structural model:
```
data_ErPu5Ir5
_cell_length_a 12.441
_cell_length_b 5.560
_cell_length_c 8.020
_cell_angle_alpha 90.00
_cell_angle_beta 108.46
_cell_angle_gamma 90.00
_symmetry_space_group_name_H-M 'C 1 2/m 1'
_symmetry_Int_Tables_number 12
_symmetry_space_group_name_Hall '-C 2y'
loop_
_atom_site_label
_atom_site_type_symbol
_atom_site_fract_x
_atom_site_fract_y
_atom_site_fract_z
Er1 Er 0.000 0.000 0.000
Pu1 Pu 0.000 0.000 0.500
Pu2 Pu 0.160 0.500 0.328
Pu3 Pu 0.168 0.500 0.841
Ir1 Ir 0.000 0.500 0.000
Ir2 Ir 0.166 0.000 0.821
Ir3 Ir 0.178 0.000 0.346
```


Entry 8:
# ErSi3IrRh
Calculated X-ray diffraction stick pattern, Cu Kα, 1.54184 Å. Input: a GGA-PBE-relaxed structure.
No peak broadening, texture or thermal motion is included.

Main lines, by intensity (2θ from 10° to 80°):
2theta, Rel. int., (hkl)
29.4, 1000, 1 3 1
20.9, 782, 0 2 1
28.5, 667, 2 0 0
43.8, 632, 2 0 2
32.6, 454, 0 0 2
35.6, 418, 2 2 1

Structural model:
```
data_ErSi3IrRh
_cell_length_a 6.268
_cell_length_b 13.469
_cell_length_c 5.495
_cell_angle_alpha 90.00
_cell_angle_beta 90.00
_cell_angle_gamma 90.00
_symmetry_space_group_name_H-M 'C m c m'
_symmetry_Int_Tables_number 63
_symmetry_space_group_name_Hall '-C 2c 2'
loop_
_atom_site_label
_atom_site_type_symbol
_atom_site_fract_x
_atom_site_fract_y
_atom_site_fract_z
Er1 Er 0.000 0.182 0.250
Si1 Si 0.000 0.224 0.750
Si2 Si 0.208 0.500 0.000
Ir1 Ir 0.000 0.391 0.750
Rh1 Rh 0.000 0.056 0.750
```